[1]
This entry pairs a crystal structure of ThInCu2 with its calculated X-ray powder pattern. Radiation: Cu Kα (weighted mean of Kα1 and Kα2). Structure: a structure optimized by DFT (PBE).

Structural model:
Lattice parameters (Å, degrees): 6.833 6.833 6.833 90.00 90.00 90.00
Fractional coordinates of all 16 atoms:
Th1 0.000 0.000 0.000
Th2 0.000 0.500 0.500
Th3 0.500 0.000 0.500
Th4 0.500 0.500 0.000
In1 0.000 0.000 0.500
In2 0.000 0.500 0.000
In3 0.500 0.000 0.000
In4 0.500 0.500 0.500
Cu1 0.250 0.250 0.250
Cu2 0.250 0.250 0.750
Cu3 0.250 0.750 0.250
Cu4 0.250 0.750 0.750
Cu5 0.750 0.250 0.250
Cu6 0.750 0.250 0.750
Cu7 0.750 0.750 0.250
Cu8 0.750 0.750 0.750

Top 6 peaks for 10° ≤ 2θ ≤ 90°, in order of rising 2θ:
- 2θ 22.5, d 3.945, intensity 11.2, hkl 1 1 1
- 2θ 26.1, d 3.417, intensity 21.8, hkl 2 0 0
- 2θ 37.2, d 2.416, intensity 100.0, hkl 2 2 0
- 2θ 53.7, d 1.708, intensity 17.2, hkl 4 0 0
- 2θ 67.1, d 1.395, intensity 34.6, hkl 4 2 2
- 2θ 79.3, d 1.208, intensity 10.7, hkl 4 4 0


[2]
This entry pairs a crystal structure of Cs3ClO with its calculated X-ray powder pattern. Radiation: Cu Kα (weighted mean of Kα1 and Kα2). Structure: a structure optimized by DFT (PBE).

Structural model:
Lattice parameters (Å, degrees): 9.696 4.518 16.666 90.00 90.00 90.00
Fractional coordinates of all 20 atoms:
Cs1 0.026 0.250 0.098
Cs2 0.172 0.250 0.501
Cs3 0.212 0.750 0.292
Cs4 0.288 0.250 0.792
Cs5 0.328 0.750 0.001
Cs6 0.474 0.750 0.598
Cs7 0.526 0.250 0.402
Cs8 0.672 0.250 0.999
Cs9 0.712 0.750 0.208
Cs10 0.788 0.250 0.708
Cs11 0.828 0.750 0.499
Cs12 0.974 0.750 0.902
Cl1 0.077 0.750 0.672
Cl2 0.423 0.250 0.172
Cl3 0.577 0.750 0.828
Cl4 0.923 0.250 0.328
O1 0.166 0.250 0.938
O2 0.334 0.750 0.438
O3 0.666 0.250 0.562
O4 0.834 0.750 0.062

Top 6 peaks for 10° ≤ 2θ ≤ 90°, in order of rising 2θ:
- 2θ 25.4, d 3.505, intensity 42.5, hkl 0 1 3
- 2θ 27.0, d 3.297, intensity 100.0, hkl 1 1 3
- 2θ 27.5, d 3.242, intensity 78.0, hkl 2 1 1
- 2θ 28.1, d 3.173, intensity 44.9, hkl 3 0 1
- 2θ 28.3, d 3.156, intensity 98.6, hkl 1 0 5
- 2θ 29.1, d 3.072, intensity 64.8, hkl 2 1 2